This entry pairs a crystal structure of MnCo3N3 with its computed powder diffractogram. Radiation: copper Kα. Structure: a structure optimized by DFT (GGA-PBE).

Structural model:
```
data_MnCo3N3
_chemical_formula_sum 'Mn2 Co6 N6'
_cell_length_a 5.996
_cell_length_b 3.794
_cell_length_c 6.432
_cell_angle_alpha 90.00
_cell_angle_beta 113.61
_cell_angle_gamma 90.00
_symmetry_space_group_name_H-M 'P 1 21/m 1'
_symmetry_Int_Tables_number 11
_symmetry_space_group_name_Hall '-P 2yb'
loop_
_atom_site_label
_atom_site_fract_x
_atom_site_fract_y
_atom_site_fract_z
_atom_site_occupancy
Mn1 0.116 0.250 0.336 1
Co1 0.214 0.250 0.829 1
Co2 0.325 0.750 0.123 1
Co3 0.417 0.750 0.621 1
N1 0.215 0.750 0.786 1
N2 0.241 0.250 0.130 1
N3 0.373 0.250 0.607 1
```

Top 10 peaks for 2θ = 10–80°, by angle:
| Position (°2θ) | I/Imax | hkl |
| --- | --- | --- |
| 34.59 | 41.6 | 2 0 -2 |
| 38.33 | 21.5 | 2 1 -1 |
| 38.69 | 100.0 | 0 1 2 |
| 40.55 | 67.0 | 2 1 0 |
| 41.46 | 15.1 | 2 0 1 |
| 44.69 | 19.0 | 2 0 -3 |
| 47.96 | 53.3 | 0 2 0 |
| 53.99 | 24.1 | 2 0 2 |
| 63.07 | 23.0 | 4 0 -1 |
| 75.07 | 16.1 | 2 2 2 |


This entry pairs a crystal structure of Mg4Zn7 with its computed powder diffractogram. Radiation: copper Kα. Structure: a structure optimized by DFT (GGA-PBE).

Structural model:
```
data_Mg4Zn7
_chemical_formula_sum 'Mg20 Zn35'
_cell_length_a 5.287
_cell_length_b 13.152
_cell_length_c 14.141
_cell_angle_alpha 102.31
_cell_angle_beta 90.03
_cell_angle_gamma 101.60
_symmetry_space_group_name_H-M 'P 1'
_symmetry_Int_Tables_number 1
_symmetry_space_group_name_Hall 'P 1'
loop_
_atom_site_label
_atom_site_fract_x
_atom_site_fract_y
_atom_site_fract_z
_atom_site_occupancy
Mg1 0.000 0.000 0.000 1
Mg2 0.013 0.031 0.577 1
Mg3 0.052 0.103 0.223 1
Mg4 0.145 0.285 0.609 1
Mg5 0.168 0.342 0.418 1
Mg6 0.182 0.369 0.228 1
Mg7 0.209 0.426 0.038 1
Mg8 0.301 0.606 0.428 1
Mg9 0.337 0.678 0.071 1
Mg10 0.354 0.713 0.649 1
Mg11 0.392 0.783 0.300 1
Mg12 0.480 0.965 0.675 1
Mg13 0.535 0.072 0.898 1
Mg14 0.618 0.239 0.276 1
Mg15 0.659 0.322 0.926 1
Mg16 0.696 0.389 0.721 1
Mg17 0.734 0.470 0.369 1
Mg18 0.821 0.639 0.749 1
Mg19 0.870 0.746 0.972 1
Mg20 0.965 0.926 0.349 1
Zn1 0.000 0.493 0.569 1
Zn2 0.008 0.018 0.791 1
Zn3 0.008 0.529 0.895 1
Zn4 0.046 0.570 0.222 1
Zn5 0.099 0.200 0.917 1
Zn6 0.160 0.820 0.499 1
Zn7 0.177 0.856 0.825 1
Zn8 0.178 0.355 0.822 1
Zn9 0.191 0.891 0.148 1
Zn10 0.258 0.511 0.730 1
Zn11 0.307 0.142 0.426 1
Zn12 0.342 0.691 0.858 1
Zn13 0.344 0.180 0.751 1
Zn14 0.356 0.217 0.077 1
Zn15 0.440 0.872 0.986 1
Zn16 0.487 0.978 0.463 1
Zn17 0.496 0.494 0.570 1
Zn18 0.508 0.016 0.288 1
Zn19 0.520 0.529 0.896 1
Zn20 0.522 0.568 0.223 1
Zn21 0.528 0.055 0.111 1
Zn22 0.582 0.159 0.592 1
Zn23 0.649 0.819 0.500 1
Zn24 0.656 0.318 0.501 1
Zn25 0.676 0.853 0.823 1
Zn26 0.695 0.392 0.145 1
Zn27 0.701 0.891 0.150 1
Zn28 0.774 0.551 0.055 1
Zn29 0.828 0.654 0.538 1
Zn30 0.831 0.142 0.427 1
Zn31 0.834 0.180 0.752 1
Zn32 0.844 0.695 0.360 1
Zn33 0.860 0.216 0.078 1
Zn34 0.866 0.732 0.184 1
Zn35 0.915 0.838 0.662 1
```

Top 10 peaks for 2θ = 10–80°, by angle:
| Position (°2θ) | I/Imax | hkl |
| --- | --- | --- |
| 19.29 | 29.4 | 0 0 3 |
| 36.19 | 35.8 | 1 -1 5 |
| 38.23 | 30.9 | 1 4 1 |
| 38.66 | 54.2 | 0 2 -6 |
| 40.34 | 58.1 | 2 -4 0 |
| 40.40 | 100.0 | 1 3 -5 |
| 40.78 | 59.2 | 2 0 3 |
| 41.41 | 39.4 | 0 1 6 |
| 42.19 | 44.2 | 0 6 -1 |
| 69.88 | 38.3 | 2 -2 9 |